Diffraction record for Rb2InWF. The X-ray diffraction stick pattern is calculated, not measured: it uses DFT lattice parameters and positions (GGA+U) and Cu Ka.
Intensities are scaled so that the largest is 1000.

Main lines, by angle (10 to 80 degrees two-theta):
Position (°2θ), I (rel.), hkl
27.47, 319, 0 0 2
28.20, 1000, 1 1 1
35.02, 335, 2 0 0
45.07, 326, 2 0 2
49.02, 218, 1 1 3
50.36, 117, 2 2 0
58.32, 149, 2 2 2
58.72, 257, 3 1 1
68.41, 92, 2 0 4
72.92, 136, 3 1 3

Cell and atoms:
a = 5.1247 Å, b = 5.1247 Å, c = 6.4933 Å
α = 90.00°, β = 90.00°, γ = 90.00°
Space group P4/mmm (No. 123)
Asymmetric unit:
Rb (0.0000, 0.5000, 0.0000) [2 per cell]
In (0.0000, 0.0000, 0.5000) [1 per cell]
W (0.5000, 0.5000, 0.5000) [1 per cell]
F (0.5000, 0.5000, 0.0000) [1 per cell]